1.
Diffraction record for Nd2Ge3AsRh4. The powder diffractogram is simulated, not measured: it uses DFT lattice parameters and positions (PBE) and Cu Kα (λ = 1.5418 Å).

Atomic structure:
Unit cell a=4.294 b=4.294 c=10.056 alpha=90.00 beta=90.00 gamma=90.00
Fractional coordinates of all 10 atoms:
Nd (0.000, 0.500, 0.242)
Nd (0.500, 0.000, 0.758)
Ge (0.000, 0.000, 0.000)
Ge (0.000, 0.500, 0.629)
Ge (0.500, 0.000, 0.371)
As (0.500, 0.500, 0.000)
Rh (0.000, 0.000, 0.500)
Rh (0.000, 0.500, 0.875)
Rh (0.500, 0.000, 0.125)
Rh (0.500, 0.500, 0.500)

Main lines, by angle (10° ≤ 2θ ≤ 80°):
- 29.4 deg, d = 3.036 Å, I 14
- 33.9 deg, d = 2.642 Å, I 68
- 34.5 deg, d = 2.599 Å, I 100
- 42.1 deg, d = 2.147 Å, I 68
- 46.9 deg, d = 1.936 Å, I 19
- 50.1 deg, d = 1.821 Å, I 24
- 55.1 deg, d = 1.666 Å, I 34
- 61.0 deg, d = 1.518 Å, I 22
- 63.4 deg, d = 1.467 Å, I 15
- 67.4 deg, d = 1.389 Å, I 19
- 71.7 deg, d = 1.316 Å, I 8
- 72.0 deg, d = 1.311 Å, I 23

***

2.
Diffraction record for Ni8GeAs2. The powder diffractogram is simulated, not measured: it uses DFT lattice parameters and positions (PBE) and Cu Kα (λ = 1.5418 Å).

Atomic structure:
Unit cell a=6.665 b=6.665 c=6.665 alpha=148.00 beta=121.11 gamma=68.61
Fractional coordinates of all 11 atoms:
Ni (0.103, 0.335, 0.769)
Ni (0.146, 0.146, 0.000)
Ni (0.296, 0.000, 0.296)
Ni (0.434, 0.665, 0.769)
Ni (0.566, 0.335, 0.231)
Ni (0.704, 0.000, 0.704)
Ni (0.854, 0.854, 0.000)
Ni (0.897, 0.665, 0.231)
Ge (0.000, 0.500, 0.500)
As (0.322, 0.822, 0.500)
As (0.678, 0.178, 0.500)

Main lines, by angle (10° ≤ 2θ ≤ 80°):
- 27.8 deg, d = 3.204 Å, I 8
- 37.7 deg, d = 2.387 Å, I 3
- 42.2 deg, d = 2.143 Å, I 6
- 43.3 deg, d = 2.088 Å, I 11
- 44.5 deg, d = 2.035 Å, I 100
- 49.6 deg, d = 1.836 Å, I 37
- 56.1 deg, d = 1.638 Å, I 10
- 57.9 deg, d = 1.593 Å, I 3
- 67.1 deg, d = 1.395 Å, I 3
- 72.9 deg, d = 1.298 Å, I 10
- 74.3 deg, d = 1.276 Å, I 2
- 78.2 deg, d = 1.222 Å, I 13

***

3.
Diffraction record for Ni7Ge2As2Pt. The powder diffractogram is simulated, not measured: it uses DFT lattice parameters and positions (PBE) and Cu Kα (λ = 1.5418 Å).

Atomic structure:
Unit cell a=3.550 b=3.550 c=13.982 alpha=94.03 beta=94.03 gamma=90.80
Fractional coordinates of all 12 atoms:
Ni (0.000, 0.000, 0.000)
Ni (0.038, 0.537, 0.138)
Ni (0.114, 0.114, 0.414)
Ni (0.463, 0.962, 0.862)
Ni (0.537, 0.038, 0.138)
Ni (0.886, 0.886, 0.586)
Ni (0.962, 0.463, 0.862)
Ge (0.367, 0.367, 0.578)
Ge (0.633, 0.633, 0.422)
As (0.066, 0.066, 0.247)
As (0.934, 0.934, 0.753)
Pt (0.500, 0.500, 0.000)

Main lines, by angle (10° ≤ 2θ ≤ 80°):
- 12.7 deg, d = 6.956 Å, I 77
- 27.4 deg, d = 3.251 Å, I 42
- 29.1 deg, d = 3.068 Å, I 49
- 32.2 deg, d = 2.782 Å, I 37
- 39.5 deg, d = 2.284 Å, I 38
- 40.6 deg, d = 2.220 Å, I 48
- 44.3 deg, d = 2.045 Å, I 48
- 45.6 deg, d = 1.987 Å, I 43
- 46.6 deg, d = 1.951 Å, I 40
- 47.1 deg, d = 1.930 Å, I 45
- 48.7 deg, d = 1.871 Å, I 47
- 51.6 deg, d = 1.771 Å, I 100

***

4.
Diffraction record for GeAsO4. The powder diffractogram is simulated, not measured: it uses DFT lattice parameters and positions (PBE) and Cu Kα (λ = 1.5418 Å).

Atomic structure:
Unit cell a=5.376 b=5.376 c=7.865 alpha=90.00 beta=90.00 gamma=90.00
Fractional coordinates of all 12 atoms:
Ge (0.000, 0.000, 0.000)
Ge (0.500, 0.500, 0.500)
As (0.000, 0.500, 0.250)
As (0.500, 0.000, 0.750)
O (0.133, 0.248, 0.125)
O (0.248, 0.867, 0.875)
O (0.252, 0.633, 0.375)
O (0.367, 0.252, 0.625)
O (0.633, 0.748, 0.625)
O (0.748, 0.367, 0.375)
O (0.752, 0.133, 0.875)
O (0.867, 0.752, 0.125)

Main lines, by angle (10° ≤ 2θ ≤ 80°):
- 20.0 deg, d = 4.438 Å, I 100
- 32.8 deg, d = 2.733 Å, I 42
- 33.3 deg, d = 2.688 Å, I 10
- 38.2 deg, d = 2.356 Å, I 8
- 39.2 deg, d = 2.299 Å, I 17
- 47.9 deg, d = 1.901 Å, I 7
- 51.6 deg, d = 1.772 Å, I 15
- 58.1 deg, d = 1.587 Å, I 10
- 59.2 deg, d = 1.561 Å, I 14
- 63.5 deg, d = 1.465 Å, I 8
- 71.7 deg, d = 1.316 Å, I 5
- 73.6 deg, d = 1.286 Å, I 5

***

5.
Diffraction record for ZnGeAsP. The powder diffractogram is simulated, not measured: it uses DFT lattice parameters and positions (PBE) and Cu Kα (λ = 1.5418 Å).

Atomic structure:
Unit cell a=5.595 b=5.641 c=11.116 alpha=90.00 beta=90.00 gamma=90.00
Fractional coordinates of all 16 atoms:
Zn (0.000, 0.250, 0.116)
Zn (0.000, 0.750, 0.384)
Zn (0.500, 0.250, 0.884)
Zn (0.500, 0.750, 0.616)
Ge (0.000, 0.250, 0.622)
Ge (0.000, 0.750, 0.878)
Ge (0.500, 0.250, 0.378)
Ge (0.500, 0.750, 0.122)
As (0.245, 0.500, 0.250)
As (0.255, 0.500, 0.750)
As (0.745, 0.000, 0.750)
As (0.755, 0.000, 0.250)
P (0.250, 0.008, 0.500)
P (0.250, 0.992, 0.000)
P (0.750, 0.492, 0.500)
P (0.750, 0.508, 0.000)

Main lines, by angle (10° ≤ 2θ ≤ 80°):
- 22.4 deg, d = 3.972 Å, I 5
- 27.6 deg, d = 3.232 Å, I 100
- 45.7 deg, d = 1.986 Å, I 24
- 45.8 deg, d = 1.980 Å, I 23
- 46.0 deg, d = 1.972 Å, I 23
- 54.0 deg, d = 1.697 Å, I 15
- 54.4 deg, d = 1.687 Å, I 14
- 54.7 deg, d = 1.679 Å, I 14
- 66.3 deg, d = 1.410 Å, I 4
- 73.5 deg, d = 1.288 Å, I 6
- 73.8 deg, d = 1.284 Å, I 5
- 74.1 deg, d = 1.280 Å, I 5

***

6.
Diffraction record for Zr6GeAs3P2. The powder diffractogram is simulated, not measured: it uses DFT lattice parameters and positions (PBE) and Cu Kα (λ = 1.5418 Å).

Atomic structure:
Unit cell a=8.601 b=8.601 c=7.703 alpha=103.59 beta=103.59 gamma=25.63
Fractional coordinates of all 12 atoms:
Zr (0.007, 0.007, 0.253)
Zr (0.327, 0.327, 0.430)
Zr (0.331, 0.331, 0.897)
Zr (0.669, 0.669, 0.103)
Zr (0.673, 0.673, 0.570)
Zr (0.993, 0.993, 0.747)
Ge (0.500, 0.500, 0.000)
As (0.164, 0.164, 0.833)
As (0.500, 0.500, 0.500)
As (0.836, 0.836, 0.167)
P (0.167, 0.167, 0.334)
P (0.833, 0.833, 0.666)

Main lines, by angle (10° ≤ 2θ ≤ 80°):
- 27.4 deg, d = 3.257 Å, I 3
- 28.6 deg, d = 3.122 Å, I 6
- 33.0 deg, d = 2.711 Å, I 100
- 36.0 deg, d = 2.492 Å, I 3
- 47.2 deg, d = 1.926 Å, I 35
- 47.6 deg, d = 1.909 Å, I 35
- 58.4 deg, d = 1.579 Å, I 6
- 59.2 deg, d = 1.561 Å, I 17
- 69.3 deg, d = 1.356 Å, I 10
- 78.6 deg, d = 1.217 Å, I 13
- 79.2 deg, d = 1.209 Å, I 9
- 79.3 deg, d = 1.208 Å, I 5

***

7.
Diffraction record for TbPaGeAs. The powder diffractogram is simulated, not measured: it uses DFT lattice parameters and positions (PBE) and Cu Kα (λ = 1.5418 Å).

Atomic structure:
Unit cell a=4.152 b=4.152 c=20.063 alpha=90.00 beta=90.00 gamma=120.00
Fractional coordinates of all 12 atoms:
Tb (0.000, 0.000, 0.000)
Tb (0.333, 0.667, 0.667)
Tb (0.667, 0.333, 0.333)
Pa (0.000, 0.000, 0.499)
Pa (0.333, 0.667, 0.166)
Pa (0.667, 0.333, 0.832)
Ge (0.000, 0.000, 0.752)
Ge (0.333, 0.667, 0.419)
Ge (0.667, 0.333, 0.086)
As (0.000, 0.000, 0.248)
As (0.333, 0.667, 0.914)
As (0.667, 0.333, 0.581)

Main lines, by angle (10° ≤ 2θ ≤ 80°):
- 26.3 deg, d = 3.385 Å, I 26
- 26.7 deg, d = 3.344 Å, I 9
- 30.6 deg, d = 2.923 Å, I 100
- 43.6 deg, d = 2.076 Å, I 38
- 44.0 deg, d = 2.057 Å, I 37
- 51.6 deg, d = 1.770 Å, I 4
- 51.8 deg, d = 1.764 Å, I 9
- 54.2 deg, d = 1.693 Å, I 20
- 54.9 deg, d = 1.672 Å, I 6
- 63.7 deg, d = 1.461 Å, I 12
- 72.0 deg, d = 1.312 Å, I 17
- 72.6 deg, d = 1.302 Å, I 17

***

8.
Diffraction record for Pr3GeAs2Pd9. The powder diffractogram is simulated, not measured: it uses DFT lattice parameters and positions (PBE) and Cu Kα (λ = 1.5418 Å).

Atomic structure:
Unit cell a=6.608 b=6.608 c=8.492 alpha=90.00 beta=90.00 gamma=120.00
Fractional coordinates of all 15 atoms:
Pr (0.000, 0.000, 0.000)
Pr (0.333, 0.667, 0.669)
Pr (0.667, 0.333, 0.331)
Ge (0.000, 0.000, 0.500)
As (0.333, 0.667, 0.183)
As (0.667, 0.333, 0.817)
Pd (0.000, 0.500, 0.000)
Pd (0.144, 0.288, 0.290)
Pd (0.144, 0.856, 0.290)
Pd (0.288, 0.144, 0.710)
Pd (0.500, 0.000, 0.000)
Pd (0.500, 0.500, 0.000)
Pd (0.712, 0.856, 0.290)
Pd (0.856, 0.144, 0.710)
Pd (0.856, 0.712, 0.710)

Main lines, by angle (10° ≤ 2θ ≤ 80°):
- 10.4 deg, d = 8.492 Å, I 8
- 26.1 deg, d = 3.410 Å, I 14
- 27.0 deg, d = 3.304 Å, I 14
- 31.6 deg, d = 2.831 Å, I 22
- 33.0 deg, d = 2.711 Å, I 76
- 37.9 deg, d = 2.373 Å, I 100
- 47.2 deg, d = 1.927 Å, I 12
- 53.8 deg, d = 1.705 Å, I 26
- 55.6 deg, d = 1.652 Å, I 30
- 63.7 deg, d = 1.460 Å, I 9
- 65.4 deg, d = 1.427 Å, I 13
- 69.3 deg, d = 1.356 Å, I 15